# SmAuSeO
Theoretical powder diffraction line list, a wavelength of 1.5418 Å. Input: DFT lattice parameters and positions (PBE).
Peak positions follow from Bragg's law for the DFT cell and can differ from measured ones.

Crystal structure
```
data_SmAuSeO
_chemical_formula_sum 'Sm4 Au4 Se4 O4'
_cell_length_a 5.6705
_cell_length_b 5.6705
_cell_length_c 9.5277
_cell_angle_alpha 90.00
_cell_angle_beta 90.00
_cell_angle_gamma 90.00
_space_group_name_H-M_alt 'P 4 b m'
_space_group_IT_number 100
loop_
_space_group_symop_operation_xyz
'x,y,z'
'-y,x,z'
'-x,-y,z'
'y,-x,z'
'-x+1/2,y+1/2,z'
'y+1/2,x+1/2,z'
'x+1/2,-y+1/2,z'
'-y+1/2,-x+1/2,z'
loop_
_atom_site_label
_atom_site_fract_x
_atom_site_fract_y
_atom_site_fract_z
Sm1 0.0000 0.0000 0.0000
Sm2 0.0000 0.5000 0.2448
Au1 0.1808 0.3192 0.6122
Se1 0.0000 0.0000 0.4141
Se2 0.0000 0.5000 0.8415
O1 0.2486 0.2514 0.1242
```

Most intense lines, 10 to 90 degrees two-theta, by angle:
h k l	2theta	d_spacing	I (rel.)
1 1 2	29.11	3.068	100
2 0 1	32.96	2.717	86
1 1 3	36.08	2.490	57
2 1 1	36.67	2.451	61
2 0 2	36.89	2.436	70
2 2 0	45.23	2.005	48